No. 1
Diffraction record for Rb3Pd2Se3. The powder diffractogram is theoretical, not measured: it uses a PBE-relaxed structure and copper Kα.
No peak broadening, texture or thermal motion is included.

```
data_Rb3Pd2Se3
_chemical_formula_sum 'Rb12 Pd8 Se12'
_symmetry_space_group_name_H-M 'C m c m'
_symmetry_Int_Tables_number 63
_symmetry_space_group_name_Hall '-C 2c 2'
_cell_length_a 4.9903
_cell_length_b 12.1482
_cell_length_c 15.7601
_cell_angle_alpha 90.00
_cell_angle_beta 90.00
_cell_angle_gamma 90.00
loop_
_atom_site_label
_atom_site_fract_x
_atom_site_fract_y
_atom_site_fract_z
Rb1 0.0000 0.0284 0.1171
Rb2 0.0000 0.2901 0.7500
Pd1 0.0000 0.3063 0.0948
Se1 0.0000 0.2332 0.5543
Se2 0.0000 0.3987 0.2500
```

Peak list (6 most intense, 2θ = 10–90°, by angle)
- 2θ = 14.58°, rel. 52.9, (0 2 0)
- 2θ = 28.38°, rel. 66.9, (1 3 0)
- 2θ = 28.96°, rel. 32.3, (1 3 1)
- 2θ = 34.11°, rel. 100.0, (0 0 6)
- 2θ = 35.99°, rel. 64.2, (2 0 0)
- 2θ = 50.43°, rel. 66.4, (2 0 6)


No. 2
Diffraction record for RbPd5Se8. The powder diffractogram is theoretical, not measured: it uses a PBE-relaxed structure and copper Kα.
No peak broadening, texture or thermal motion is included.

```
data_RbPd5Se8
_chemical_formula_sum 'Rb2 Pd10 Se16'
_symmetry_space_group_name_H-M 'C 1 2/m 1'
_symmetry_Int_Tables_number 12
_symmetry_space_group_name_Hall '-C 2y'
_cell_length_a 19.3110
_cell_length_b 3.8679
_cell_length_c 8.9271
_cell_angle_alpha 90.00
_cell_angle_beta 105.56
_cell_angle_gamma 90.00
loop_
_atom_site_label
_atom_site_fract_x
_atom_site_fract_y
_atom_site_fract_z
Rb1 0.0000 0.0000 0.0000
Pd1 0.0000 0.5000 0.5000
Pd2 0.1597 0.0000 0.4847
Pd3 0.2026 0.0000 0.8278
Se1 0.0692 0.0000 0.6633
Se2 0.0877 0.5000 0.3354
Se3 0.1726 0.5000 0.9871
Se4 0.2375 0.5000 0.6517
```

Peak list (6 most intense, 2θ = 10–90°, by angle)
- 2θ = 10.29°, rel. 63.5, (0 0 1)
- 2θ = 30.51°, rel. 100.0, (3 1 1)
- 2θ = 31.87°, rel. 46.0, (3 1 -2)
- 2θ = 38.66°, rel. 54.0, (3 1 -3)
- 2θ = 44.84°, rel. 48.0, (3 1 3)
- 2θ = 48.54°, rel. 73.6, (9 1 -1)


What did the second record say?
Diffraction record for RbPd5Se8. The powder diffractogram is theoretical, not measured: it uses a PBE-relaxed structure and copper Kα.
No peak broadening, texture or thermal motion is included.

```
data_RbPd5Se8
_chemical_formula_sum 'Rb2 Pd10 Se16'
_symmetry_space_group_name_H-M 'C 1 2/m 1'
_symmetry_Int_Tables_number 12
_symmetry_space_group_name_Hall '-C 2y'
_cell_length_a 19.3110
_cell_length_b 3.8679
_cell_length_c 8.9271
_cell_angle_alpha 90.00
_cell_angle_beta 105.56
_cell_angle_gamma 90.00
loop_
_atom_site_label
_atom_site_fract_x
_atom_site_fract_y
_atom_site_fract_z
Rb1 0.0000 0.0000 0.0000
Pd1 0.0000 0.5000 0.5000
Pd2 0.1597 0.0000 0.4847
Pd3 0.2026 0.0000 0.8278
Se1 0.0692 0.0000 0.6633
Se2 0.0877 0.5000 0.3354
Se3 0.1726 0.5000 0.9871
Se4 0.2375 0.5000 0.6517
```

Peak list (6 most intense, 2θ = 10–90°, by angle)
- 2θ = 10.29°, rel. 63.5, (0 0 1)
- 2θ = 30.51°, rel. 100.0, (3 1 1)
- 2θ = 31.87°, rel. 46.0, (3 1 -2)
- 2θ = 38.66°, rel. 54.0, (3 1 -3)
- 2θ = 44.84°, rel. 48.0, (3 1 3)
- 2θ = 48.54°, rel. 73.6, (9 1 -1)